KSb5O13: computed powder diffraction line list (a wavelength of 1.5418 Å), based on a DFT-relaxed cell (GGA-PBE, the Materials Project).

Crystal structure
```
data_KSb5O13
_cell_length_a 5.622
_cell_length_b 17.074
_cell_length_c 5.663
_cell_angle_alpha 90.00
_cell_angle_beta 107.30
_cell_angle_gamma 90.00
_space_group_name_H-M_alt 'P 1 21/m 1'
_space_group_IT_number 11
loop_
_space_group_symop_operation_xyz
'x,y,z'
'-x,-y,-z'
'-x,y+1/2,-z'
'x,-y+1/2,z'
loop_
_atom_site_label
_atom_site_type_symbol
_atom_site_fract_x
_atom_site_fract_y
_atom_site_fract_z
K1 K 0.094 0.250 0.343
Sb1 Sb 0.000 0.000 0.500
Sb2 Sb 0.234 0.638 0.271
Sb3 Sb 0.386 0.078 0.114
O1 O 0.016 0.613 0.485
O2 O 0.069 0.132 0.022
O3 O 0.180 0.750 0.316
O4 O 0.226 0.510 0.275
O5 O 0.311 0.000 0.811
O6 O 0.445 0.651 0.053
O7 O 0.472 0.134 0.428
```

Peak list (10 most intense, 10° ≤ 2θ ≤ 90°, low angle first)
2θ = 10.36°, I 676
2θ = 22.16°, I 201
2θ = 25.08°, I 367
2θ = 26.65°, I 1000
2θ = 28.69°, I 385
2θ = 31.01°, I 471
2θ = 35.68°, I 160
2θ = 45.73°, I 154
2θ = 51.46°, I 159
2θ = 52.26°, I 140

***

K2Sb4O11: computed powder diffraction line list (a wavelength of 1.5418 Å), based on a DFT-relaxed cell (GGA-PBE, the Materials Project).

Crystal structure
```
data_K2Sb4O11
_cell_length_a 19.787
_cell_length_b 7.670
_cell_length_c 7.292
_cell_angle_alpha 90.00
_cell_angle_beta 95.16
_cell_angle_gamma 90.00
_space_group_name_H-M_alt 'C 1 2/m 1'
_space_group_IT_number 12
loop_
_space_group_symop_operation_xyz
'x,y,z'
'-x,-y,-z'
'-x,y,-z'
'x,-y,z'
'x+1/2,y+1/2,z'
'-x+1/2,-y+1/2,-z'
'-x+1/2,y+1/2,-z'
'x+1/2,-y+1/2,z'
loop_
_atom_site_label
_atom_site_type_symbol
_atom_site_fract_x
_atom_site_fract_y
_atom_site_fract_z
K1 K 0.011 0.000 0.261
K2 K 0.240 0.000 0.003
Sb1 Sb 0.072 0.500 0.097
Sb2 Sb 0.076 0.500 0.616
Sb3 Sb 0.175 0.242 0.435
O1 O 0.000 0.327 0.000
O2 O 0.023 0.500 0.345
O3 O 0.088 0.244 0.569
O4 O 0.119 0.500 0.867
O5 O 0.130 0.302 0.187
O6 O 0.160 0.000 0.351
O7 O 0.167 0.500 0.510
O8 O 0.236 0.211 0.668
```

Peak list (10 most intense, 10° ≤ 2θ ≤ 90°, low angle first)
2θ = 12.19°, I 557
2θ = 12.38°, I 1000
2θ = 14.49°, I 347
2θ = 24.91°, I 382
2θ = 25.41°, I 217
2θ = 26.28°, I 281
2θ = 27.45°, I 229
2θ = 29.43°, I 238
2θ = 31.90°, I 248
2θ = 36.00°, I 235

***

K4Sb2O3: computed powder diffraction line list (a wavelength of 1.5418 Å), based on a DFT-relaxed cell (GGA-PBE, the Materials Project).

Crystal structure
```
data_K4Sb2O3
_cell_length_a 6.3697
_cell_length_b 6.3697
_cell_length_c 14.5847
_cell_angle_alpha 90.00
_cell_angle_beta 90.00
_cell_angle_gamma 120.00
_space_group_name_H-M_alt 'P 63 m c'
_space_group_IT_number 186
_space_group_name_Hall 'P 6c -2c'
loop_
_atom_site_label
_atom_site_type_symbol
_atom_site_fract_x
_atom_site_fract_y
_atom_site_fract_z
K1 K 0.0000 0.0000 0.0000
K2 K 0.0000 0.0000 0.2359
K3 K 0.3333 0.6667 0.1267
K4 K 0.3333 0.6667 0.7883
Sb1 Sb 0.3333 0.6667 0.3732
Sb2 Sb 0.3333 0.6667 0.5628
O1 O 0.1780 0.3560 0.6232
```

Peak list (10 most intense, 10° ≤ 2θ ≤ 90°, low angle first)
2θ = 17.19°, I 947
2θ = 28.02°, I 1000
2θ = 29.36°, I 346
2θ = 34.79°, I 433
2θ = 37.49°, I 162
2θ = 41.03°, I 173
2θ = 43.86°, I 162
2θ = 45.25°, I 234
2θ = 49.58°, I 191
2θ = 54.06°, I 235

***

KSb5O13: computed powder diffraction line list (a wavelength of 1.5418 Å), based on a DFT-relaxed cell (GGA-PBE, the Materials Project).

Crystal structure
```
data_KSb5O13
_cell_length_a 17.062
_cell_length_b 9.089
_cell_length_c 6.691
_cell_angle_alpha 90.00
_cell_angle_beta 90.00
_cell_angle_gamma 90.00
_space_group_name_H-M_alt 'A m a 2'
_space_group_IT_number 40
loop_
_space_group_symop_operation_xyz
'x,y,z'
'-x,-y,z'
'-x+1/2,y,z'
'x+1/2,-y,z'
'x,y+1/2,z+1/2'
'-x,-y+1/2,z+1/2'
'-x+1/2,y+1/2,z+1/2'
'x+1/2,-y+1/2,z+1/2'
loop_
_atom_site_label
_atom_site_type_symbol
_atom_site_fract_x
_atom_site_fract_y
_atom_site_fract_z
K1 K 0.250 0.126 0.000
Sb1 Sb 0.000 0.000 0.971
Sb2 Sb 0.078 0.386 0.972
Sb3 Sb 0.138 0.268 0.473
O1 O 0.000 0.000 0.282
O2 O 0.000 0.000 0.661
O3 O 0.010 0.275 0.472
O4 O 0.113 0.485 0.472
O5 O 0.132 0.273 0.176
O6 O 0.134 0.271 0.771
O7 O 0.151 0.054 0.470
O8 O 0.250 0.318 0.469
```

Peak list (10 most intense, 10° ≤ 2θ ≤ 90°, low angle first)
2θ = 10.37°, I 667
2θ = 25.08°, I 364
2θ = 26.65°, I 1000
2θ = 28.70°, I 382
2θ = 31.02°, I 468
2θ = 32.87°, I 271
2θ = 34.13°, I 224
2θ = 36.18°, I 206
2θ = 36.92°, I 225
2θ = 51.10°, I 258

***

K6Sb14Se6O25: computed powder diffraction line list (a wavelength of 1.5418 Å), based on a DFT-relaxed cell (GGA-PBE, the Materials Project).

Crystal structure
```
data_K6Sb14Se6O25
_cell_length_a 14.9188
_cell_length_b 14.9188
_cell_length_c 5.6232
_cell_angle_alpha 90.00
_cell_angle_beta 90.00
_cell_angle_gamma 120.00
_space_group_name_H-M_alt 'P -3'
_space_group_IT_number 147
loop_
_space_group_symop_operation_xyz
'x,y,z'
'-x,-y,-z'
'-y,x-y,z'
'y,-x+y,-z'
'-x+y,-x,z'
'x-y,x,-z'
loop_
_atom_site_label
_atom_site_type_symbol
_atom_site_fract_x
_atom_site_fract_y
_atom_site_fract_z
K1 K 0.0879 0.8497 0.2524
Sb1 Sb 0.0232 0.6267 0.7479
Sb2 Sb 0.1543 0.4359 0.7566
Sb3 Sb 0.3333 0.6667 0.3853
Se1 Se 0.1565 0.6265 0.2341
O1 O 0.0000 0.0000 0.5000
O2 O 0.0400 0.9311 0.8543
O3 O 0.0551 0.3480 0.5034
O4 O 0.0563 0.3461 0.0042
O5 O 0.1284 0.7784 0.7452
```

Peak list (10 most intense, 10° ≤ 2θ ≤ 90°, low angle first)
2θ = 20.94°, I 476
2θ = 24.14°, I 231
2θ = 26.06°, I 577
2θ = 28.72°, I 1000
2θ = 29.56°, I 708
2θ = 31.78°, I 811
2θ = 31.95°, I 174
2θ = 45.58°, I 298
2θ = 49.41°, I 291
2θ = 59.95°, I 208